[1]
Structure and simulated X-ray powder pattern of MgMnCo5 (a DFT-relaxed cell (PBE, Alexandria); Cu Kα).

Principal peaks in the range 2θ from 10° to 90°, low angle first:
| h k l | 2θ/deg | I_rel |
| --- | --- | --- |
| 2 1 3 | 40.75 | 75 |
| 3 1 1 | 41.40 | 100 |
| 2 2 1 | 46.59 | 73 |
| 1 0 5 | 46.78 | 73 |
| 2 1 4 | 47.55 | 85 |
| 1 2 3 | 49.16 | 91 |

Cell and atoms:
```
MgMnCo5
1.0
7.642 0.000 0.000
0.000 4.653 0.000
0.000 0.000 10.039
Mg Mn Co
4 4 20
Direct
0.240 0.250 0.064
0.260 0.750 0.564
0.740 0.250 0.436
0.760 0.750 0.936
0.132 0.750 0.861
0.368 0.250 0.361
0.632 0.750 0.639
0.868 0.250 0.139
0.056 0.750 0.094
0.070 0.010 0.311
0.070 0.490 0.311
0.086 0.250 0.520
0.188 0.250 0.744
0.312 0.750 0.244
0.414 0.750 0.020
0.430 0.510 0.811
0.430 0.990 0.811
0.444 0.250 0.594
0.556 0.750 0.406
0.570 0.010 0.189
0.570 0.490 0.189
0.586 0.250 0.980
0.688 0.250 0.756
0.812 0.750 0.256
0.914 0.750 0.480
0.930 0.510 0.689
0.930 0.990 0.689
0.944 0.250 0.906
```



[2]
Structure and simulated X-ray powder pattern of Mg2MnCo (a DFT-relaxed cell (PBE, Alexandria); Cu Kα).

Principal peaks in the range 2θ from 10° to 90°, low angle first:
| h k l | 2θ/deg | I_rel |
| --- | --- | --- |
| 1 1 1 | 24.60 | 21 |
| 2 2 0 | 40.72 | 100 |
| 3 1 1 | 48.15 | 9 |
| 4 0 0 | 58.95 | 16 |
| 4 2 2 | 74.11 | 30 |
| 4 4 0 | 88.19 | 9 |

Cell and atoms:
```
Mg2MnCo
1.0
6.267 0.000 0.000
0.000 6.267 0.000
0.000 0.000 6.267
Mg Mn Co
8 4 4
Direct
0.000 0.000 0.000
0.000 0.500 0.500
0.250 0.250 0.250
0.250 0.750 0.750
0.500 0.000 0.500
0.500 0.500 0.000
0.750 0.250 0.750
0.750 0.750 0.250
0.250 0.250 0.750
0.250 0.750 0.250
0.750 0.250 0.250
0.750 0.750 0.750
0.000 0.000 0.500
0.000 0.500 0.000
0.500 0.000 0.000
0.500 0.500 0.500
```